(1)
Structure and calculated powder diffraction line list of Nd3CrN5 (DFT lattice parameters and positions (GGA-PBE); Cu Kα X-rays).
Peak positions follow from Bragg's law for the DFT cell and can differ from measured ones.

Main lines, by angle (10 to 90 degrees two-theta):
2θ = 24.55°, I = 24; 2θ = 30.68°, I = 58; 2θ = 30.97°, I = 100; 2θ = 32.11°, I = 40; 2θ = 37.68°, I = 24; 2θ = 38.41°, I = 57; 2θ = 42.33°, I = 25; 2θ = 50.33°, I = 20; 2θ = 50.91°, I = 17; 2θ = 56.53°, I = 20

Structural model:
Cell lengths 7.3394, 7.3394, 7.3394 Å; angles 125.23, 125.23, 81.15 degrees
Sites, in units of the cell vectors:
Nd 0.1741 0.6741 0.8481
Nd 0.2500 0.2500 0.0000
Nd 0.3259 0.1741 0.5000
Nd 0.6741 0.8259 0.5000
Nd 0.7500 0.7500 0.0000
Nd 0.8259 0.3259 0.1519
Cr 0.2500 0.7500 0.5000
Cr 0.7500 0.2500 0.5000
N 0.0000 0.0000 0.0000
N 0.0102 0.7998 0.5000
N 0.2002 0.7002 0.2105
N 0.2998 0.5102 0.5000
N 0.4898 0.9898 0.7895
N 0.5000 0.5000 0.0000
N 0.5102 0.0102 0.2105
N 0.7002 0.4898 0.5000
N 0.7998 0.2998 0.7895
N 0.9898 0.2002 0.5000

***

(2)
Structure and calculated powder diffraction line list of Na12CdHg3 (DFT lattice parameters and positions (GGA-PBE); Cu Kα X-rays).
Peak positions follow from Bragg's law for the DFT cell and can differ from measured ones.

Main lines, by angle (10 to 90 degrees two-theta):
2θ = 18.06°, I = 35; 2θ = 18.20°, I = 70; 2θ = 25.75°, I = 62; 2θ = 25.85°, I = 31; 2θ = 31.71°, I = 100; 2θ = 36.88°, I = 34; 2θ = 41.39°, I = 37; 2θ = 45.53°, I = 29; 2θ = 52.93°, I = 23; 2θ = 63.23°, I = 27

Structural model:
Cell lengths 4.8743, 4.8743, 19.6490 Å; angles 90.00, 90.00, 90.00 degrees
Sites, in units of the cell vectors:
Na 0.0000 0.0000 0.0000
Na 0.0000 0.0000 0.2480
Na 0.0000 0.0000 0.5000
Na 0.0000 0.0000 0.7520
Na 0.0000 0.5000 0.1241
Na 0.0000 0.5000 0.3722
Na 0.0000 0.5000 0.6278
Na 0.0000 0.5000 0.8759
Na 0.5000 0.0000 0.1241
Na 0.5000 0.0000 0.3722
Na 0.5000 0.0000 0.6278
Na 0.5000 0.0000 0.8759
Cd 0.5000 0.5000 0.5000
Hg 0.5000 0.5000 0.0000
Hg 0.5000 0.5000 0.2477
Hg 0.5000 0.5000 0.7523

***

(3)
Structure and calculated powder diffraction line list of Si2P3Pt2 (DFT lattice parameters and positions (GGA-PBE); Cu Kα X-rays).
Peak positions follow from Bragg's law for the DFT cell and can differ from measured ones.

Main lines, by angle (10 to 90 degrees two-theta):
2θ = 15.89°, I = 80; 2θ = 21.54°, I = 77; 2θ = 26.15°, I = 46; 2θ = 30.23°, I = 70; 2θ = 30.74°, I = 41; 2θ = 34.12°, I = 100; 2θ = 35.36°, I = 56; 2θ = 40.38°, I = 35; 2θ = 44.50°, I = 70; 2θ = 58.18°, I = 33

Structural model:
Cell lengths 6.1329, 11.1543, 3.4082 Å; angles 90.00, 90.00, 90.00 degrees
Sites, in units of the cell vectors:
Si 0.1265 0.1418 0.0000
Si 0.3735 0.6418 0.0000
Si 0.6265 0.3582 0.0000
Si 0.8735 0.8582 0.0000
P 0.0000 0.0000 0.5000
P 0.0103 0.5962 0.0000
P 0.4897 0.0962 0.0000
P 0.5000 0.5000 0.5000
P 0.5103 0.9038 0.0000
P 0.9897 0.4038 0.0000
Pt 0.1825 0.3157 0.5000
Pt 0.3175 0.8157 0.5000
Pt 0.6825 0.1843 0.5000
Pt 0.8175 0.6843 0.5000